Diffraction record for LiFePO4. The powder X-ray diffraction pattern is theoretical, not measured: it uses a GGA+U-relaxed structure and λ = 1.5418 Å (Cu Kα).
Peak positions follow from Bragg's law for the DFT cell and can differ from measured ones.

Most intense lines, 10° ≤ 2θ ≤ 90°, in order of rising 2θ:
hkl 0 1 1, 12.27 deg, I = 54; hkl 0 2 1, 19.31 deg, I = 100; hkl 1 1 1, 19.98 deg, I = 48; hkl 1 2 -1, 24.33 deg, I = 86; hkl 0 1 3, 27.96 deg, I = 65; hkl 0 2 3, 31.80 deg, I = 41; hkl 2 0 -2, 34.68 deg, I = 35; hkl 0 0 4, 35.69 deg, I = 36; hkl 2 2 2, 40.58 deg, I = 39; hkl 2 3 -1, 41.15 deg, I = 37

Structure:
abc: 5.8401 10.3375 10.0801
angles: 90.00 93.30 90.00
Space group P2_1/c (No. 14)
Symmetry-distinct sites (fractional):
Li 0.1228 0.0839 0.2311 (multiplicity 4)
Li 0.3598 0.6054 0.5165 (multiplicity 4)
Fe 0.1287 0.6543 0.8505 (multiplicity 4)
Fe 0.3779 0.1673 0.6384 (multiplicity 4)
P 0.1267 0.1492 0.9053 (multiplicity 4)
P 0.3687 0.6042 0.1510 (multiplicity 4)
O 0.1019 0.2330 0.0319 (multiplicity 4)
O 0.1033 0.5798 0.6351 (multiplicity 4)
O 0.1531 0.5144 0.1391 (multiplicity 4)
O 0.1616 0.2385 0.7817 (multiplicity 4)
O 0.3317 0.0592 0.9238 (multiplicity 4)
O 0.3617 0.6981 0.2718 (multiplicity 4)
O 0.3784 0.6859 0.0190 (multiplicity 4)
O 0.4184 0.0128 0.3345 (multiplicity 4)